Entry 1:
Starting from a structure optimized by DFT (PBE), the powder X-ray diffraction pattern of ZnGeP2 was calculated for λ = 1.5418 Å (Cu Kα).
Peak positions follow from Bragg's law for the DFT cell and can differ from measured ones.

Peak list (12 most intense, 10 to 90 degrees two-theta, by intensity)
| Position (°2θ) | I_rel | index |
| --- | --- | --- |
| 28.23 | 1000 | 1 1 2 |
| 47.05 | 400 | 2 0 4 |
| 55.44 | 284 | 3 1 2 |
| 46.68 | 205 | 2 2 0 |
| 56.11 | 137 | 1 1 6 |
| 86.93 | 132 | 4 2 4 |
| 75.89 | 109 | 3 1 6 |
| 32.54 | 98 | 2 0 0 |
| 87.76 | 65 | 2 2 8 |
| 68.15 | 63 | 4 0 0 |
| 75.33 | 55 | 3 3 2 |
| 33.04 | 47 | 0 0 4 |

Structure:
```
data_ZnGeP2
_chemical_formula_sum 'Zn4 Ge4 P8'
_space_group_name_H-M_alt 'I -4 2 d'
_space_group_IT_number 122
_space_group_name_Hall 'I -4 2bw'
_cell_length_a 5.5041
_cell_length_b 5.5041
_cell_length_c 10.8434
_cell_angle_alpha 90.00
_cell_angle_beta 90.00
_cell_angle_gamma 90.00
loop_
_atom_site_label
_atom_site_type_symbol
_atom_site_fract_x
_atom_site_fract_y
_atom_site_fract_z
Zn1 Zn 0.0000 0.0000 0.0000
Ge1 Ge 0.0000 0.0000 0.5000
P1 P 0.2459 0.2500 0.6250
```

Entry 2:
Starting from a structure optimized by DFT (PBE), the powder X-ray diffraction pattern of PaGe3 was calculated for λ = 1.5418 Å (Cu Kα).
Peak positions follow from Bragg's law for the DFT cell and can differ from measured ones.

Peak list (12 most intense, 10 to 90 degrees two-theta, by intensity)
| Position (°2θ) | I_rel | index |
| --- | --- | --- |
| 36.41 | 1000 | 1 1 1 |
| 42.30 | 495 | 2 0 0 |
| 73.50 | 388 | 3 1 1 |
| 61.36 | 330 | 2 2 0 |
| 20.79 | 327 | 1 0 0 |
| 29.56 | 282 | 1 1 0 |
| 47.58 | 162 | 2 1 0 |
| 52.45 | 123 | 2 1 1 |
| 77.35 | 113 | 2 2 2 |
| 65.53 | 81 | 3 0 0 |
| 84.91 | 67 | 3 2 1 |
| 69.56 | 55 | 3 1 0 |

Structure:
```
data_PaGe3
_chemical_formula_sum 'Pa1 Ge3'
_space_group_name_H-M_alt 'P m -3 m'
_space_group_IT_number 221
_space_group_name_Hall '-P 4 2 3'
_cell_length_a 4.2735
_cell_length_b 4.2735
_cell_length_c 4.2735
_cell_angle_alpha 90.00
_cell_angle_beta 90.00
_cell_angle_gamma 90.00
loop_
_atom_site_label
_atom_site_type_symbol
_atom_site_fract_x
_atom_site_fract_y
_atom_site_fract_z
Pa1 Pa 0.0000 0.0000 0.0000
Ge1 Ge 0.0000 0.5000 0.5000
```

Entry 3:
Starting from a structure optimized by DFT (PBE), the powder X-ray diffraction pattern of GePbS3 was calculated for λ = 1.5418 Å (Cu Kα).
Peak positions follow from Bragg's law for the DFT cell and can differ from measured ones.

Peak list (12 most intense, 10 to 90 degrees two-theta, by intensity)
| Position (°2θ) | I_rel | index |
| --- | --- | --- |
| 22.75 | 1000 | 1 2 -1 |
| 12.17 | 950 | 1 0 0 |
| 21.28 | 894 | 0 2 1 |
| 32.03 | 793 | 2 1 1 |
| 27.93 | 738 | 1 3 0 |
| 21.89 | 735 | 1 1 1 |
| 20.65 | 612 | 1 2 0 |
| 26.15 | 541 | 1 0 -2 |
| 36.25 | 508 | 0 4 1 |
| 31.14 | 447 | 2 0 -2 |
| 25.88 | 422 | 2 1 0 |
| 48.73 | 389 | 2 3 2 |

Structure:
```
data_GePbS3
_chemical_formula_sum 'Ge4 Pb4 S12'
_space_group_name_H-M_alt 'P 1 21/c 1'
_space_group_IT_number 14
_space_group_name_Hall '-P 2ybc'
_cell_length_a 7.5399
_cell_length_b 10.6652
_cell_length_c 6.9596
_cell_angle_alpha 90.00
_cell_angle_beta 105.25
_cell_angle_gamma 90.00
loop_
_atom_site_label
_atom_site_type_symbol
_atom_site_fract_x
_atom_site_fract_y
_atom_site_fract_z
Ge1 Ge 0.1856 0.2088 0.0045
Pb1 Pb 0.3775 0.5814 0.2268
S1 S 0.0034 0.7204 0.8112
S2 S 0.2690 0.0118 0.0788
S3 S 0.4411 0.1786 0.5822
```

Entry 4:
Starting from a structure optimized by DFT (PBE), the powder X-ray diffraction pattern of Ge3PbSe4 was calculated for λ = 1.5418 Å (Cu Kα).
Peak positions follow from Bragg's law for the DFT cell and can differ from measured ones.

Peak list (12 most intense, 10 to 90 degrees two-theta, by intensity)
| Position (°2θ) | I_rel | index |
| --- | --- | --- |
| 30.65 | 1000 | 1 1 1 |
| 31.16 | 449 | 0 0 4 |
| 37.99 | 309 | 1 1 -3 |
| 24.82 | 302 | 1 0 -2 |
| 49.92 | 265 | 1 1 5 |
| 29.62 | 197 | 1 1 0 |
| 45.39 | 193 | 0 2 0 |
| 56.08 | 176 | 0 2 4 |
| 43.53 | 137 | 1 1 -4 |
| 46.26 | 128 | 2 1 1 |
| 51.73 | 127 | 1 0 -6 |
| 40.02 | 101 | 2 0 -1 |

Structure:
```
data_Ge3PbSe4
_chemical_formula_sum 'Ge3 Pb1 Se4'
_space_group_name_H-M_alt 'P 1 m 1'
_space_group_IT_number 6
_space_group_name_Hall 'P -2y'
_cell_length_a 4.5955
_cell_length_b 3.9962
_cell_length_c 11.4821
_cell_angle_alpha 90.00
_cell_angle_beta 90.05
_cell_angle_gamma 90.00
loop_
_atom_site_label
_atom_site_type_symbol
_atom_site_fract_x
_atom_site_fract_y
_atom_site_fract_z
Ge1 Ge 0.0000 0.0000 0.0000
Ge2 Ge 0.2486 0.5000 0.7492
Ge3 Ge 0.7478 0.0000 0.5061
Pb1 Pb 0.5301 0.5000 0.2625
Se1 Se 0.0905 0.0000 0.2205
Se2 Se 0.1113 0.5000 0.5272
Se3 Se 0.6148 0.0000 0.7215
Se4 Se 0.6311 0.5000 0.0128
```

Repeat the first record exactly.
Starting from a structure optimized by DFT (PBE), the powder X-ray diffraction pattern of ZnGeP2 was calculated for λ = 1.5418 Å (Cu Kα).
Peak positions follow from Bragg's law for the DFT cell and can differ from measured ones.

Peak list (12 most intense, 10 to 90 degrees two-theta, by intensity)
| Position (°2θ) | I_rel | index |
| --- | --- | --- |
| 28.23 | 1000 | 1 1 2 |
| 47.05 | 400 | 2 0 4 |
| 55.44 | 284 | 3 1 2 |
| 46.68 | 205 | 2 2 0 |
| 56.11 | 137 | 1 1 6 |
| 86.93 | 132 | 4 2 4 |
| 75.89 | 109 | 3 1 6 |
| 32.54 | 98 | 2 0 0 |
| 87.76 | 65 | 2 2 8 |
| 68.15 | 63 | 4 0 0 |
| 75.33 | 55 | 3 3 2 |
| 33.04 | 47 | 0 0 4 |

Structure:
```
data_ZnGeP2
_chemical_formula_sum 'Zn4 Ge4 P8'
_space_group_name_H-M_alt 'I -4 2 d'
_space_group_IT_number 122
_space_group_name_Hall 'I -4 2bw'
_cell_length_a 5.5041
_cell_length_b 5.5041
_cell_length_c 10.8434
_cell_angle_alpha 90.00
_cell_angle_beta 90.00
_cell_angle_gamma 90.00
loop_
_atom_site_label
_atom_site_type_symbol
_atom_site_fract_x
_atom_site_fract_y
_atom_site_fract_z
Zn1 Zn 0.0000 0.0000 0.0000
Ge1 Ge 0.0000 0.0000 0.5000
P1 P 0.2459 0.2500 0.6250
```

Which formula does entry 1 have? ZnGeP2

Repeat the first record exactly.
Starting from a structure optimized by DFT (PBE), the powder X-ray diffraction pattern of ZnGeP2 was calculated for λ = 1.5418 Å (Cu Kα).
Peak positions follow from Bragg's law for the DFT cell and can differ from measured ones.

Peak list (12 most intense, 10 to 90 degrees two-theta, by intensity)
| Position (°2θ) | I_rel | index |
| --- | --- | --- |
| 28.23 | 1000 | 1 1 2 |
| 47.05 | 400 | 2 0 4 |
| 55.44 | 284 | 3 1 2 |
| 46.68 | 205 | 2 2 0 |
| 56.11 | 137 | 1 1 6 |
| 86.93 | 132 | 4 2 4 |
| 75.89 | 109 | 3 1 6 |
| 32.54 | 98 | 2 0 0 |
| 87.76 | 65 | 2 2 8 |
| 68.15 | 63 | 4 0 0 |
| 75.33 | 55 | 3 3 2 |
| 33.04 | 47 | 0 0 4 |

Structure:
```
data_ZnGeP2
_chemical_formula_sum 'Zn4 Ge4 P8'
_space_group_name_H-M_alt 'I -4 2 d'
_space_group_IT_number 122
_space_group_name_Hall 'I -4 2bw'
_cell_length_a 5.5041
_cell_length_b 5.5041
_cell_length_c 10.8434
_cell_angle_alpha 90.00
_cell_angle_beta 90.00
_cell_angle_gamma 90.00
loop_
_atom_site_label
_atom_site_type_symbol
_atom_site_fract_x
_atom_site_fract_y
_atom_site_fract_z
Zn1 Zn 0.0000 0.0000 0.0000
Ge1 Ge 0.0000 0.0000 0.5000
P1 P 0.2459 0.2500 0.6250
```